1.
Sr2MgFeO4: simulated X-ray diffraction stick pattern (Cu Kα, 1.54184 Å), based on a PBE+U-relaxed structure.

```
8
Lattice="-1.972 1.972 9.015 1.972 -1.972 9.015 1.972 1.972 -9.015" Properties=species:S:1:pos:R:3 pbc="T T T"
Sr 0.000 0.000 3.307
Sr 0.000 0.000 14.722
Mg 0.000 0.000 0.000
Fe 0.000 0.000 9.015
O 1.972 0.000 0.000
O 0.000 0.000 5.639
O 0.000 1.972 0.000
O 0.000 0.000 12.390
```

The 6 most intense peaks (15 to 90 degrees two-theta), in order of rising 2θ:
d (Å)  2θ (°)  Rel. int.
3.297  27.05  100
3.005  29.73  57
2.788  32.10  77
2.044  44.32  43
1.972  46.03  42
1.648  55.76  34

=====

2.
Sr4MgFe4O10: simulated X-ray diffraction stick pattern (Cu Kα, 1.54184 Å), based on a PBE+U-relaxed structure.

```
19
Lattice="3.870 -8.491 0.000 3.870 8.491 0.000 -3.852 0.000 4.021" Properties=species:S:1:pos:R:3 pbc="T T T"
Sr 3.870 6.037 0.000
Sr -0.074 2.523 3.956
Sr -0.074 -2.523 3.956
Sr 3.870 -6.037 0.000
Mg 1.976 0.000 2.791
Fe 1.876 4.498 1.935
Fe 2.023 0.000 0.273
Fe 1.876 -4.498 1.935
Fe 5.108 0.000 1.784
O 1.849 6.510 1.985
O 1.922 1.593 1.561
O 3.818 4.275 1.938
O 1.895 4.154 3.931
O 0.319 0.000 3.969
O 1.922 -1.593 1.561
O 1.849 -6.510 1.985
O 3.914 0.000 3.541
O 1.895 -4.154 3.931
O 3.818 -4.275 1.938
```

The 6 most intense peaks (15 to 90 degrees two-theta), in order of rising 2θ:
d (Å)  2θ (°)  Rel. int.
2.920  30.62  64
2.860  31.28  100
2.795  32.03  55
2.782  32.18  57
2.314  38.92  52
2.011  45.09  39

=====

3.
Sr4MgFe4O10: simulated X-ray diffraction stick pattern (Cu Kα, 1.54184 Å), based on a PBE+U-relaxed structure.

```
19
Lattice="5.662 0.000 0.000 0.660 5.860 0.000 2.621 2.627 8.190" Properties=species:S:1:pos:R:3 pbc="T T T"
Sr 0.000 0.000 0.000
Sr 2.440 2.263 4.811
Sr 2.549 2.262 0.203
Sr 5.318 5.212 4.880
Mg 4.428 4.263 1.248
Fe 2.532 5.343 6.639
Fe 2.240 4.958 2.746
Fe 5.242 2.245 6.467
Fe 5.308 2.328 2.714
O 2.664 5.606 4.453
O 3.922 3.753 6.494
O 4.363 6.785 6.666
O 3.038 5.793 1.230
O 3.221 3.251 2.540
O 5.401 1.898 4.552
O 7.083 6.857 7.429
O 6.652 3.715 6.515
O 6.001 4.745 2.441
O 5.527 2.313 0.841
```

The 6 most intense peaks (15 to 90 degrees two-theta), in order of rising 2θ:
d (Å)  2θ (°)  Rel. int.
2.928  30.53  100
2.860  31.28  86
2.830  31.62  82
2.808  31.86  92
2.780  32.20  87
1.924  47.24  56